Structure and theoretical X-ray diffraction stick pattern of Li2AgAu8 (a DFT-relaxed cell (PBE, Alexandria); λ = 1.5418 Å (Cu Kα)).
Lines closer than 0.1° are merged.

Principal peaks in the range 2θ = 15–90°, by angle:
- 25.8°, 3.453 Å, rel. 14
- 37.9°, 2.376 Å, rel. 100
- 38.1°, 2.361 Å, rel. 100
- 43.7°, 2.071 Å, rel. 34
- 44.3°, 2.044 Å, rel. 33
- 44.4°, 2.038 Å, rel. 31
- 64.0°, 1.455 Å, rel. 22
- 64.6°, 1.443 Å, rel. 20
- 76.7°, 1.242 Å, rel. 14
- 77.3°, 1.235 Å, rel. 24

Crystal structure
```
Li2AgAu8
1.0
7.352 -2.044 0.000
7.352 2.044 0.000
-1.766 0.000 6.316
Li Ag Au
2 1 8
direct
0.225 0.225 0.149
0.775 0.775 0.851
0.500 0.500 0.500
0.047 0.047 0.225
0.143 0.143 0.699
0.318 0.318 0.590
0.401 0.401 0.041
0.599 0.599 0.959
0.682 0.682 0.410
0.857 0.857 0.301
0.953 0.953 0.775
```



Structure and theoretical X-ray diffraction stick pattern of Li2AgAu5 (a DFT-relaxed cell (PBE, Alexandria); λ = 1.5418 Å (Cu Kα)).
Lines closer than 0.1° are merged.

Principal peaks in the range 2θ = 15–90°, by angle:
- 21.6°, 4.118 Å, rel. 25
- 31.2°, 2.863 Å, rel. 21
- 38.3°, 2.351 Å, rel. 100
- 44.0°, 2.059 Å, rel. 34
- 45.5°, 1.992 Å, rel. 15
- 63.9°, 1.456 Å, rel. 11
- 65.2°, 1.432 Å, rel. 21
- 77.0°, 1.238 Å, rel. 27
- 79.3°, 1.208 Å, rel. 12
- 82.0°, 1.176 Å, rel. 12

Crystal structure
```
Li2AgAu5
1.0
5.825 0.000 0.000
0.000 11.645 0.000
0.000 0.000 3.984
Li Ag Au
4 2 10
direct
0.242 0.128 0.000
0.258 0.628 0.000
0.742 0.372 0.000
0.758 0.872 0.000
0.000 0.500 0.500
0.500 0.000 0.500
0.000 0.000 0.500
0.001 0.749 0.500
0.249 0.376 0.000
0.251 0.876 0.000
0.499 0.249 0.500
0.500 0.500 0.500
0.501 0.751 0.500
0.749 0.124 0.000
0.751 0.624 0.000
0.999 0.251 0.500
```



Structure and theoretical X-ray diffraction stick pattern of Li2Ag7Au2 (a DFT-relaxed cell (PBE, Alexandria); λ = 1.5418 Å (Cu Kα)).
Lines closer than 0.1° are merged.

Principal peaks in the range 2θ = 15–90°, by angle:
- 17.2°, 5.160 Å, rel. 52
- 23.2°, 3.828 Å, rel. 38
- 25.4°, 3.513 Å, rel. 37
- 34.4°, 2.609 Å, rel. 34
- 35.3°, 2.540 Å, rel. 83
- 37.4°, 2.404 Å, rel. 95
- 38.2°, 2.355 Å, rel. 100
- 39.6°, 2.273 Å, rel. 85
- 40.3°, 2.240 Å, rel. 72
- 44.5°, 2.035 Å, rel. 58

Crystal structure
```
Li2Ag7Au2
1.0
4.024 -4.807 0.000
4.024 4.807 0.000
-1.673 0.000 5.160
Li Ag Au
2 7 2
direct
0.165 0.835 0.000
0.835 0.165 0.000
0.078 0.570 0.295
0.305 0.305 0.968
0.430 0.922 0.705
0.500 0.500 0.500
0.570 0.078 0.295
0.695 0.695 0.032
0.922 0.430 0.705
0.141 0.141 0.408
0.859 0.859 0.592
```



Structure and theoretical X-ray diffraction stick pattern of Li6Ag2Au (a DFT-relaxed cell (PBE, Alexandria); λ = 1.5418 Å (Cu Kα)).
Lines closer than 0.1° are merged.

Principal peaks in the range 2θ = 15–90°, by angle:
- 21.9°, 4.060 Å, rel. 99
- 24.4°, 3.642 Å, rel. 92
- 28.6°, 3.122 Å, rel. 100
- 32.9°, 2.723 Å, rel. 28
- 37.8°, 2.381 Å, rel. 30
- 38.0°, 2.367 Å, rel. 28
- 38.1°, 2.359 Å, rel. 35
- 39.5°, 2.284 Å, rel. 32
- 41.3°, 2.186 Å, rel. 46
- 42.7°, 2.120 Å, rel. 34

Crystal structure
```
Li6Ag2Au
1.0
2.413 -7.102 0.000
2.413 7.102 0.000
-2.314 0.000 4.242
Li Ag Au
6 2 1
direct
0.014 0.338 0.336
0.188 0.188 0.842
0.338 0.014 0.336
0.662 0.986 0.664
0.812 0.812 0.158
0.986 0.662 0.664
0.325 0.675 0.000
0.675 0.325 0.000
0.500 0.500 0.500
```